The following is a calculated powder X-ray diffraction pattern of SrSc2O4. It was derived from the GGA-PBE geometry in the Materials Project, using Cu Kα X-rays.

Main lines, in order of rising 2θ (5° ≤ 2θ ≤ 70°):
- 31.2°, rel. 600
- 31.6°, rel. 616
- 31.8°, rel. 588
- 31.9°, rel. 1000
- 42.5°, rel. 403
- 47.9°, rel. 412

Structural model:
```
SrSc2O4
1.0
4.879 -2.891 0.000
4.879 2.891 0.000
-0.092 0.000 20.512
Sr Sc O
6 12 24
Cartesian
4.810 2.258 15.384
3.236 0.637 7.260
3.190 -0.637 17.516
6.476 0.637 2.996
6.430 -0.637 13.251
4.856 -2.258 5.128
4.797 2.208 11.715
4.823 2.208 19.053
3.278 0.697 1.071
3.215 0.647 3.985
3.169 -0.647 14.241
3.232 -0.697 11.327
6.434 0.697 9.185
6.497 0.647 6.271
6.451 -0.647 16.526
6.388 -0.697 19.440
4.844 -2.208 1.459
4.869 -2.208 8.797
3.152 1.814 17.936
1.389 0.306 20.448
2.047 0.651 15.345
4.356 1.895 2.558
1.435 -0.306 10.192
3.599 0.891 12.705
5.356 1.895 7.697
2.093 -0.651 5.089
6.469 1.814 12.832
4.856 0.213 5.128
6.021 0.891 18.062
4.879 0.000 0.000
4.833 0.000 10.256
3.645 -0.891 2.450
4.810 -0.213 15.384
3.198 -1.814 7.680
7.573 0.651 15.423
4.310 -1.895 12.814
6.068 -0.891 7.806
8.232 0.306 10.320
5.310 -1.895 17.953
7.619 -0.651 5.167
8.278 -0.306 0.064
6.515 -1.814 2.576
```